# Mo2WSe2S4
Calculated X-ray powder pattern, Cu Kα. Input: a structure optimized by DFT (PBE).
No peak broadening, texture or thermal motion is included.

Structure:
```
data_Mo2WSe2S4
_space_group_name_H-M_alt 'P -6 m 2'
_space_group_IT_number 187
_space_group_name_Hall 'P -6 2'
_cell_length_a 3.2342
_cell_length_b 3.2342
_cell_length_c 29.6932
_cell_angle_alpha 90.00
_cell_angle_beta 90.00
_cell_angle_gamma 120.00
loop_
_atom_site_label
_atom_site_type_symbol
_atom_site_fract_x
_atom_site_fract_y
_atom_site_fract_z
Mo1 Mo 0.0000 0.0000 0.2314
W1 W 0.3333 0.6667 0.0000
Se1 Se 0.0000 0.0000 0.0578
S1 S 0.3333 0.6667 0.1791
S2 S 0.3333 0.6667 0.2836
```

Most intense lines, 10° ≤ 2θ ≤ 90°, in order of rising 2θ:
- (0 0 4), 2θ = 11.92°, I = 1000
- (0 0 5), 2θ = 14.92°, I = 217
- (1 0 0), 2θ = 31.95°, I = 198
- (1 0 1), 2θ = 32.10°, I = 117
- (1 0 4), 2θ = 34.22°, I = 119
- (1 0 6), 2θ = 36.87°, I = 374
- (1 0 7), 2θ = 38.52°, I = 421
- (1 0 10), 2θ = 44.47°, I = 207
- (1 0 11), 2θ = 46.74°, I = 302
- (1 1 0), 2θ = 56.98°, I = 261

# SbRh
Calculated X-ray powder pattern, Cu Kα. Input: a structure optimized by DFT (PBE).
No peak broadening, texture or thermal motion is included.

Structure:
```
data_SbRh
_space_group_name_H-M_alt 'P n m a'
_space_group_IT_number 62
_space_group_name_Hall '-P 2ac 2n'
_cell_length_a 6.0569
_cell_length_b 3.9165
_cell_length_c 6.4233
_cell_angle_alpha 90.00
_cell_angle_beta 90.00
_cell_angle_gamma 90.00
loop_
_atom_site_label
_atom_site_type_symbol
_atom_site_fract_x
_atom_site_fract_y
_atom_site_fract_z
Sb1 Sb 0.1966 0.2500 0.0915
Rh1 Rh 0.0065 0.2500 0.6943
```

Most intense lines, 10° ≤ 2θ ≤ 90°, in order of rising 2θ:
- (1 1 1), 2θ = 30.54°, I = 833
- (1 0 2), 2θ = 31.53°, I = 493
- (2 1 0), 2θ = 37.54°, I = 188
- (1 1 2), 2θ = 39.21°, I = 516
- (2 1 1), 2θ = 40.17°, I = 1000
- (2 0 2), 2θ = 40.96°, I = 297
- (0 2 0), 2θ = 46.37°, I = 374
- (3 0 1), 2θ = 47.19°, I = 205
- (0 1 3), 2θ = 48.45°, I = 378
- (3 1 4), 2θ = 80.22°, I = 259